Record 1
Simulated X-ray powder pattern
Compound: Tb3Ce2Dy6Er
Radiation: CuKα
Structure: DFT lattice parameters and positions (GGA-PBE)

Principal peaks in the range 2θ from 10° to 80°, low angle first:
Position (°2θ)  I/Imax
30.97  100
35.91  51
51.69  36
61.49  43
64.54  12
76.12  6

Structure:
```
12
Lattice="3.064 -5.306 0.000 3.064 5.306 0.000 -2.043 0.000 11.545" Properties=species:S:1:pos:R:3 pbc="T T T"
Tb 0.000 0.000 0.000
Tb 3.064 1.762 0.000
Tb 3.064 -1.762 0.000
Ce 2.043 3.539 5.773
Ce 2.043 -3.539 5.773
Dy 1.013 1.778 2.905
Dy -0.008 0.000 8.643
Dy 1.013 -1.778 2.905
Dy 3.072 1.778 8.640
Dy 4.093 0.000 2.902
Dy 3.072 -1.778 8.640
Er 2.043 0.000 5.773
```

=====

Record 2
Simulated X-ray powder pattern
Compound: Sm3Sn2Rh
Radiation: CuKα
Structure: DFT lattice parameters and positions (GGA-PBE)

Principal peaks in the range 2θ from 10° to 80°, low angle first:
Position (°2θ)  I/Imax
26.03  30
28.85  54
30.27  100
32.22  37
33.03  66
35.79  63
37.20  39
39.25  44
40.63  79
58.83  27

Structure:
```
24
Lattice="12.582 0.000 0.000 0.000 4.442 0.000 0.000 0.000 11.853" Properties=species:S:1:pos:R:3 pbc="T T T"
Sm 0.649 1.111 1.534
Sm 1.519 3.332 6.483
Sm 2.998 1.111 9.386
Sm 3.293 3.332 3.459
Sm 4.772 1.111 0.557
Sm 5.642 3.332 7.461
Sm 6.940 1.111 4.392
Sm 7.810 3.332 11.296
Sm 9.289 1.111 8.394
Sm 9.584 3.332 2.467
Sm 11.063 1.111 5.369
Sm 11.933 3.332 10.319
Sn 0.014 3.332 3.663
Sn 2.377 3.332 0.001
Sn 3.914 1.111 5.927
Sn 6.276 1.111 9.589
Sn 6.305 3.332 2.263
Sn 8.668 3.332 5.926
Sn 10.205 1.111 11.852
Sn 12.567 1.111 8.190
Rh 1.611 1.111 4.362
Rh 4.680 3.332 10.288
Rh 7.902 1.111 1.564
Rh 10.971 3.332 7.491
```

=====

Record 3
Simulated X-ray powder pattern
Compound: KBaCuAs2
Radiation: CuKα
Structure: DFT lattice parameters and positions (GGA-PBE)

Principal peaks in the range 2θ from 10° to 80°, low angle first:
Position (°2θ)  I/Imax
11.35  96
23.83  48
31.12  49
32.23  25
33.56  100
36.94  25
39.23  21
39.85  27
47.94  23
57.33  20

Structure:
```
10
Lattice="5.555 0.000 0.000 0.000 6.617 0.000 0.000 0.000 7.794" Properties=species:S:1:pos:R:3 pbc="T T T"
K 1.389 0.000 0.829
K 4.167 0.000 6.965
Ba 1.389 3.309 2.584
Ba 4.167 3.309 5.210
Cu 0.000 0.000 3.897
Cu 2.778 0.000 3.897
As 1.389 1.418 5.461
As 1.389 5.199 5.461
As 4.167 1.418 2.334
As 4.167 5.199 2.334
```

=====

Record 4
Simulated X-ray powder pattern
Compound: Sc4Ga12Ni
Radiation: CuKα
Structure: DFT lattice parameters and positions (GGA-PBE)

Principal peaks in the range 2θ from 10° to 80°, low angle first:
Position (°2θ)  I/Imax
21.31  13
33.99  7
37.35  100
40.46  10
43.40  61
46.17  6
51.38  9
63.05  34
75.63  28
79.64  10

Structure:
```
17
Lattice="-4.170 4.170 4.170 4.170 -4.170 4.170 4.170 4.170 -4.170" Properties=species:S:1:pos:R:3 pbc="T T T"
Sc 2.085 2.085 -2.085
Sc 2.085 -2.085 2.085
Sc -2.085 2.085 2.085
Sc 2.085 2.085 2.085
Ga 2.383 0.000 0.000
Ga 5.958 0.000 0.000
Ga 4.170 2.085 0.000
Ga 4.170 0.000 2.085
Ga 0.000 2.383 0.000
Ga 0.000 0.000 2.383
Ga 2.085 4.170 0.000
Ga 2.085 0.000 4.170
Ga 0.000 5.958 0.000
Ga 0.000 0.000 5.958
Ga 0.000 4.170 2.085
Ga 0.000 2.085 4.170
Ni 0.000 0.000 0.000
```

=====

Record 5
Simulated X-ray powder pattern
Compound: Cs5As2Au
Radiation: CuKα
Structure: DFT lattice parameters and positions (GGA-PBE)

Principal peaks in the range 2θ from 10° to 80°, low angle first:
Position (°2θ)  I/Imax
22.34  12
27.00  35
28.25  100
29.56  20
39.47  12
46.90  16
49.24  13
50.00  20
58.42  13
63.57  13

Structure:
```
8
Lattice="3.159 1.824 9.666 -3.159 1.824 9.666 0.000 -3.648 9.666" Properties=species:S:1:pos:R:3 pbc="T T T"
Cs 0.000 0.000 0.000
Cs 0.000 0.000 3.930
Cs 0.000 0.000 8.221
Cs 0.000 0.000 20.777
Cs 0.000 0.000 25.068
As 0.000 0.000 11.957
As 0.000 0.000 17.041
Au 0.000 0.000 14.499
```

=====

Record 6
Simulated X-ray powder pattern
Compound: Co2SbSe
Radiation: CuKα
Structure: DFT lattice parameters and positions (GGA-PBE)

Principal peaks in the range 2θ from 10° to 80°, low angle first:
Position (°2θ)  I/Imax
31.01  34
31.95  33
37.83  100
41.97  67
50.33  36
54.57  33
56.35  19
64.64  17
71.14  26
73.20  13

Structure:
```
4
Lattice="3.364 0.000 0.000 0.000 3.364 0.000 0.000 0.000 5.602" Properties=species:S:1:pos:R:3 pbc="T T T"
Co 0.000 0.000 0.000
Co 1.682 1.682 1.668
Sb 0.000 0.000 2.661
Se 1.682 1.682 5.033
```

=====

Record 7
Simulated X-ray powder pattern
Compound: KPt8
Radiation: CuKα
Structure: DFT lattice parameters and positions (GGA-PBE)

Principal peaks in the range 2θ from 10° to 80°, low angle first:
Position (°2θ)  I/Imax
11.85  11
16.78  9
36.07  75
38.06  4
41.84  100
45.38  3
51.93  26
54.94  3
68.79  51
76.50  8

Structure:
```
9
Lattice="-5.283 5.283 1.366 5.283 -5.283 1.366 5.283 5.283 -1.366" Properties=species:S:1:pos:R:3 pbc="T T T"
K 0.000 0.000 0.000
Pt 3.494 0.000 0.000
Pt 7.072 0.000 0.000
Pt 3.456 3.456 0.000
Pt 1.827 -1.827 1.366
Pt 0.000 3.494 0.000
Pt 0.000 7.072 0.000
Pt -1.827 1.827 1.366
Pt 1.827 1.827 1.366
```

=====

Record 8
Simulated X-ray powder pattern
Compound: DyMg2Tl4
Radiation: CuKα
Structure: DFT lattice parameters and positions (GGA-PBE)

Principal peaks in the range 2θ from 10° to 80°, low angle first:
Position (°2θ)  I/Imax
16.87  14
22.40  24
25.39  35
34.11  100
36.22  45
43.00  18
52.15  16
59.67  21
63.80  33
71.84  12

Structure:
```
7
Lattice="-3.508 3.508 3.969 3.508 -3.508 3.969 3.508 3.508 -3.969" Properties=species:S:1:pos:R:3 pbc="T T T"
Dy 0.000 0.000 0.000
Mg 3.508 0.000 0.000
Mg 0.000 3.508 0.000
Tl 1.754 1.754 -1.984
Tl 1.754 -1.754 1.984
Tl -1.754 1.754 1.984
Tl 1.754 1.754 1.984
```